1.
Structure and simulated XRD peak list of NaAgO (DFT lattice parameters and positions (GGA-PBE); Cu Kα (weighted mean of Kα1 and Kα2)).

Cell and atoms:
Unit cell a=9.5984 b=9.5984 c=4.6896 alpha=90.00 beta=90.00 gamma=90.00
Space group I4/mmm (No. 139)
Symmetry-distinct sites (fractional):
Na (0.0000, 0.3398, 0.0000) x8
Ag (0.1573, 0.1573, 0.5000) x8
O (0.0000, 0.3089, 0.5000) x8

Largest 8 diffraction maxima, sorted by position, 2θ from 10° to 90°:
index  two_theta  intensity
1 0 1  21.1  90
3 1 0  29.4  26
3 0 1  33.9  100
0 0 2  38.4  29
3 3 0  39.8  49
4 3 1  51.4  26
3 3 2  56.5  32
6 3 1  68.6  23

***

2.
Structure and simulated XRD peak list of NaAgS2O4 (DFT lattice parameters and positions (GGA-PBE); Cu Kα (weighted mean of Kα1 and Kα2)).

Cell and atoms:
Unit cell a=7.8896 b=8.5323 c=8.3683 alpha=90.00 beta=94.17 gamma=90.00
Space group Pc (No. 7)
Symmetry-distinct sites (fractional):
Na (0.0000, 0.0108, 0.0000) x2
Na (0.4964, 0.0764, 0.9945) x2
Ag (0.4355, 0.4521, 0.6802) x2
Ag (0.9295, 0.4329, 0.4338) x2
S (0.2450, 0.4370, 0.3963) x2
S (0.2777, 0.2104, 0.2898) x2
S (0.7565, 0.4341, 0.6757) x2
S (0.7841, 0.1922, 0.7469) x2
O (0.1450, 0.2012, 0.1584) x2
O (0.2627, 0.0937, 0.4165) x2
O (0.3691, 0.2389, 0.7781) x2
O (0.4502, 0.2193, 0.2335) x2
O (0.6604, 0.1073, 0.6419) x2
O (0.7488, 0.1910, 0.9175) x2
O (0.8703, 0.2081, 0.3477) x2
O (0.9618, 0.1509, 0.7261) x2

Largest 8 diffraction maxima, sorted by position, 2θ from 10° to 90°:
index  two_theta  intensity
0 1 0  10.4  100
1 1 1  19.1  41
2 0 0  22.6  43
1 0 -2  23.4  54
1 0 2  24.9  73
1 1 -2  25.7  62
1 1 2  27.0  49
0 3 0  31.5  36

***

3.
Structure and simulated XRD peak list of NaAgSO5 (DFT lattice parameters and positions (GGA-PBE); Cu Kα (weighted mean of Kα1 and Kα2)).

Cell and atoms:
Unit cell a=5.4561 b=6.0071 c=8.6512 alpha=89.83 beta=74.20 gamma=88.09
Space group P-1 (No. 2)
Symmetry-distinct sites (fractional):
Na (0.0549, 0.2697, 0.2123) x2
Ag (0.3035, 0.2489, 0.5315) x2
S (0.1641, 0.7556, 0.3795) x2
O (0.1852, 0.2678, 0.8492) x2
O (0.2286, 0.1006, 0.9279) x2
O (0.2547, 0.9749, 0.3048) x2
O (0.2693, 0.7281, 0.5290) x2
O (0.2746, 0.5670, 0.2660) x2

Largest 8 diffraction maxima, sorted by position, 2θ from 10° to 90°:
index  two_theta  intensity
0 0 1  10.6  100
1 1 0  22.1  8
1 -1 2  28.0  8
0 2 0  29.8  16
0 2 1  31.8  9
2 0 0  34.2  11
2 1 1  35.7  20
2 0 -1  38.7  8

***

4.
Structure and simulated XRD peak list of Na5AgTe2O28 (DFT lattice parameters and positions (GGA-PBE); Cu Kα (weighted mean of Kα1 and Kα2)).

Cell and atoms:
Unit cell a=4.9182 b=9.2755 c=14.4148 alpha=84.50 beta=81.12 gamma=76.96
Space group P-1 (No. 2)
Symmetry-distinct sites (fractional):
Na (0.0000, 0.0000, 0.0000) x1
Na (0.1660, 0.6698, 0.4672) x2
Na (0.3748, 0.7885, 0.1965) x2
Ag (0.5000, 0.0000, 0.5000) x1
Te (0.2657, 0.2156, 0.3193) x2
O (0.0793, 0.1704, 0.8639) x2
O (0.1460, 0.5040, 0.2925) x2
O (0.1496, 0.2953, 0.8706) x2
O (0.1580, 0.7887, 0.6303) x2
O (0.1838, 0.8860, 0.3437) x2
O (0.2118, 0.1391, 0.1216) x2
O (0.2495, 0.6133, 0.9590) x2
O (0.2753, 0.2161, 0.4488) x2
O (0.3088, 0.7760, 0.7108) x2
O (0.3463, 0.4428, 0.5479) x2
O (0.3478, 0.7213, 0.9709) x2
O (0.3649, 0.5589, 0.2831) x2
O (0.3670, 0.0138, 0.0958) x2
O (0.3910, 0.9591, 0.3424) x2

Largest 8 diffraction maxima, sorted by position, 2θ from 10° to 90°:
index  two_theta  intensity
0 1 1  11.3  100
0 1 2  15.4  83
1 1 0  19.2  46
1 0 -1  20.5  90
1 0 -2  23.9  46
0 1 4  26.4  54
0 3 -2  33.1  88
0 3 4  38.0  45

***

5.
Structure and simulated XRD peak list of Na3AgTe2S6 (DFT lattice parameters and positions (GGA-PBE); Cu Kα (weighted mean of Kα1 and Kα2)).

Cell and atoms:
Unit cell a=5.8480 b=12.2420 c=8.3848 alpha=90.00 beta=92.68 gamma=90.00
Space group P2_1 (No. 4)
Symmetry-distinct sites (fractional):
Na (0.2421, 0.0000, 0.3785) x2
Na (0.2542, 0.3181, 0.8865) x2
Na (0.2545, 0.6536, 0.3852) x2
Ag (0.2735, 0.9657, 0.8799) x2
Te (0.2084, 0.3284, 0.4306) x2
Te (0.2120, 0.6472, 0.9329) x2
S (0.1955, 0.1294, 0.0937) x2
S (0.1974, 0.8389, 0.6275) x2
S (0.2429, 0.1753, 0.6034) x2
S (0.2489, 0.8031, 0.1010) x2
S (0.2613, 0.4739, 0.6190) x2
S (0.2821, 0.5013, 0.1193) x2

Largest 8 diffraction maxima, sorted by position, 2θ from 10° to 90°:
index  two_theta  intensity
0 1 1  12.8  13
0 2 1  17.9  25
1 1 -1  19.5  31
1 1 1  20.3  17
1 3 0  26.6  21
2 0 0  30.6  100
2 3 -2  43.1  15
2 3 2  44.6  24